# TbNdPd6
Simulated X-ray diffraction stick pattern, λ = 1.5418 Å (Cu Kα). Input: a PBE-relaxed structure.

Largest 6 diffraction maxima, by angle, 10 to 90 degrees two-theta:
37.36°, I 100
43.36°, I 33
43.50°, I 16
63.10°, I 21
75.58°, I 25
75.78°, I 12

Cell lengths 4.1736, 4.1736, 8.3214 Å; angles 90.00, 90.00, 90.00 degrees
Atoms (fractional coordinates):
Tb (0.0000, 0.0000, 0.0000)
Nd (0.0000, 0.0000, 0.5000)
Pd (0.0000, 0.5000, 0.2446)
Pd (0.0000, 0.5000, 0.7554)
Pd (0.5000, 0.0000, 0.2446)
Pd (0.5000, 0.0000, 0.7554)
Pd (0.5000, 0.5000, 0.0000)
Pd (0.5000, 0.5000, 0.5000)

***

# Nd7Te2Pd2
Simulated X-ray diffraction stick pattern, λ = 1.5418 Å (Cu Kα). Input: a PBE-relaxed structure.

Largest 6 diffraction maxima, by angle, 10 to 90 degrees two-theta:
28.86°, I 43
31.52°, I 54
32.18°, I 100
32.77°, I 46
36.62°, I 25
44.53°, I 27

Cell lengths 9.8447, 9.8447, 9.8447 Å; angles 156.14, 66.14, 119.34 degrees
Atoms (fractional coordinates):
Nd (0.0000, 0.0000, 0.0000)
Nd (0.2882, 0.4153, 0.8729)
Nd (0.2990, 0.6183, 0.6807)
Nd (0.5423, 0.4153, 0.1271)
Nd (0.6160, 0.2594, 0.3567)
Nd (0.9027, 0.2594, 0.6433)
Nd (0.9376, 0.6183, 0.3193)
Te (0.2628, 0.7628, 0.5000)
Te (0.6642, 0.6642, 0.0000)
Pd (0.1619, 0.9249, 0.2370)
Pd (0.6878, 0.9249, 0.7630)

***

# NdTe2Pd
Simulated X-ray diffraction stick pattern, λ = 1.5418 Å (Cu Kα). Input: a PBE-relaxed structure.

Largest 6 diffraction maxima, by angle, 10 to 90 degrees two-theta:
30.31°, I 100
31.48°, I 39
35.93°, I 63
37.22°, I 87
45.59°, I 24
59.37°, I 29

Cell lengths 9.6435, 9.2953, 5.0076 Å; angles 78.55, 70.86, 30.59 degrees
Atoms (fractional coordinates):
Nd (0.1271, 0.1271, 0.8729)
Nd (0.8729, 0.8729, 0.1271)
Te (0.0000, 0.0000, 0.5000)
Te (0.3223, 0.3223, 0.6777)
Te (0.5000, 0.5000, 0.0000)
Te (0.6777, 0.6777, 0.3223)
Pd (0.2500, 0.2500, 0.2500)
Pd (0.7500, 0.7500, 0.7500)

***

# NdTh4Pd15
Simulated X-ray diffraction stick pattern, λ = 1.5418 Å (Cu Kα). Input: a PBE-relaxed structure.

Largest 6 diffraction maxima, by angle, 10 to 90 degrees two-theta:
36.93°, I 100
42.76°, I 16
42.99°, I 33
62.24°, I 22
74.47°, I 13
74.79°, I 25

Cell lengths 4.2083, 4.2083, 21.1477 Å; angles 90.00, 90.00, 90.00 degrees
Atoms (fractional coordinates):
Nd (0.0000, 0.0000, 0.0000)
Th (0.0000, 0.0000, 0.1978)
Th (0.0000, 0.0000, 0.3994)
Th (0.0000, 0.0000, 0.6006)
Th (0.0000, 0.0000, 0.8022)
Pd (0.0000, 0.5000, 0.1019)
Pd (0.0000, 0.5000, 0.3005)
Pd (0.0000, 0.5000, 0.5000)
Pd (0.0000, 0.5000, 0.6995)
Pd (0.0000, 0.5000, 0.8981)
Pd (0.5000, 0.0000, 0.1019)
Pd (0.5000, 0.0000, 0.3005)
Pd (0.5000, 0.0000, 0.5000)
Pd (0.5000, 0.0000, 0.6995)
Pd (0.5000, 0.0000, 0.8981)
Pd (0.5000, 0.5000, 0.0000)
Pd (0.5000, 0.5000, 0.2017)
Pd (0.5000, 0.5000, 0.4004)
Pd (0.5000, 0.5000, 0.5996)
Pd (0.5000, 0.5000, 0.7983)

***

# Nd5TlPd
Simulated X-ray diffraction stick pattern, λ = 1.5418 Å (Cu Kα). Input: a PBE-relaxed structure.

Largest 6 diffraction maxima, by angle, 10 to 90 degrees two-theta:
29.48°, I 70
29.64°, I 66
29.84°, I 54
31.18°, I 59
32.01°, I 53
32.20°, I 100

Cell lengths 6.1309, 6.1309, 12.0004 Å; angles 101.27, 101.27, 82.75 degrees
Atoms (fractional coordinates):
Nd (0.0070, 0.9930, 0.7500)
Nd (0.0748, 0.4399, 0.1301)
Nd (0.2242, 0.5278, 0.4426)
Nd (0.4399, 0.0748, 0.6301)
Nd (0.4722, 0.7758, 0.0574)
Nd (0.5278, 0.2242, 0.9426)
Nd (0.5601, 0.9252, 0.3699)
Nd (0.7758, 0.4722, 0.5574)
Nd (0.9252, 0.5601, 0.8699)
Nd (0.9930, 0.0070, 0.2500)
Tl (0.4016, 0.5984, 0.7500)
Tl (0.5984, 0.4016, 0.2500)
Pd (0.0000, 0.0000, 0.0000)
Pd (0.0000, 0.0000, 0.5000)

***

# NdTmPd4
Simulated X-ray diffraction stick pattern, λ = 1.5418 Å (Cu Kα). Input: a PBE-relaxed structure.

Largest 6 diffraction maxima, by angle, 10 to 90 degrees two-theta:
29.58°, I 26
38.13°, I 100
38.44°, I 100
41.69°, I 50
42.96°, I 37
61.41°, I 31

Cell lengths 10.0850, 10.0850, 5.7613 Å; angles 90.00, 90.00, 155.90 degrees
Atoms (fractional coordinates):
Nd (0.2223, 0.7777, 0.7500)
Nd (0.7777, 0.2223, 0.2500)
Tm (0.0748, 0.9252, 0.2500)
Tm (0.9252, 0.0748, 0.7500)
Pd (0.0713, 0.9287, 0.7500)
Pd (0.3559, 0.6441, 0.0055)
Pd (0.3559, 0.6441, 0.4945)
Pd (0.5000, 0.5000, 0.0000)
Pd (0.5000, 0.5000, 0.5000)
Pd (0.6441, 0.3559, 0.5055)
Pd (0.6441, 0.3559, 0.9945)
Pd (0.9287, 0.0713, 0.2500)